# 1
BeC2: simulated PXRD pattern (λ = 1.5418 Å (Cu Kα)), based on a DFT-relaxed cell (PBE, Alexandria).

Structural model:
abc: 2.4306 2.4306 8.3983
angles: 90.00 90.00 120.00
Space group P6/mmm (No. 191)
One atom of each set of equivalent atoms:
Be1 0.0000 0.0000 0.0000
C1 0.3333 0.6667 0.5000

Principal peaks in the range 5 to 70 degrees two-theta, by angle:
| Position (°2θ) | I_rel |
| --- | --- |
| 10.53 | 100 |
| 21.16 | 63 |
| 31.97 | 5 |
| 43.08 | 6 |
| 44.37 | 12 |
| 54.55 | 6 |
| 66.84 | 1 |

=====

# 2
HoHfCSe: simulated PXRD pattern (λ = 1.5418 Å (Cu Kα)), based on a DFT-relaxed cell (PBE, Alexandria).

Structural model:
abc: 3.5431 3.5431 19.5692
angles: 90.00 90.00 120.00
Space group R3m (No. 160, hexagonal axes)
One atom of each set of equivalent atoms:
Ho1 0.0000 0.0000 0.0000
Hf1 0.0000 0.0000 0.2031
C1 0.0000 0.0000 0.5910
Se1 0.0000 0.0000 0.7733

Principal peaks in the range 5 to 70 degrees two-theta, by angle:
| Position (°2θ) | I_rel |
| --- | --- |
| 29.47 | 61 |
| 34.50 | 72 |
| 37.24 | 100 |
| 41.53 | 20 |
| 51.59 | 44 |
| 55.71 | 22 |
| 65.33 | 19 |
| 68.29 | 27 |

=====

# 3
Ba3Np2Se7: simulated PXRD pattern (λ = 1.5418 Å (Cu Kα)), based on a DFT-relaxed cell (PBE, Alexandria).

Structural model:
abc: 5.546 26.458 5.370
angles: 90.00 90.00 90.00
Space group Cmmm (No. 65)
One atom of each set of equivalent atoms:
Ba1 0.000 0.000 0.000
Ba2 0.000 0.182 0.000
Np1 0.000 0.395 0.500
Se1 0.000 0.098 0.500
Se2 0.000 0.292 0.500
Se3 0.000 0.397 0.000
Se4 0.000 0.500 0.500

Principal peaks in the range 5 to 70 degrees two-theta, by angle:
| Position (°2θ) | I_rel |
| --- | --- |
| 13.39 | 39 |
| 23.27 | 100 |
| 26.15 | 37 |
| 28.63 | 36 |
| 32.29 | 58 |
| 33.37 | 53 |
| 33.88 | 37 |
| 47.12 | 40 |

=====

# 4
Rb3PuF8: simulated PXRD pattern (λ = 1.5418 Å (Cu Kα)), based on a DFT-relaxed cell (PBE, Alexandria).

Structural model:
abc: 6.238 6.238 12.241
angles: 90.00 90.00 90.00
Space group I4/mmm (No. 139)
One atom of each set of equivalent atoms:
Rb1 0.000 0.000 0.000
Rb2 0.000 0.500 0.250
Pu1 0.000 0.000 0.500
F1 0.204 0.204 0.396

Principal peaks in the range 5 to 70 degrees two-theta, by angle:
| Position (°2θ) | I_rel |
| --- | --- |
| 15.95 | 37 |
| 24.88 | 100 |
| 28.62 | 18 |
| 40.92 | 20 |
| 41.33 | 38 |
| 48.49 | 31 |
| 49.20 | 17 |
| 65.86 | 15 |

=====

# 5
RbMnAsSe3: simulated PXRD pattern (λ = 1.5418 Å (Cu Kα)), based on a DFT-relaxed cell (PBE, Alexandria).

Structural model:
abc: 8.799 3.524 10.116
angles: 90.00 108.40 90.00
Space group P2_1/m (No. 11)
One atom of each set of equivalent atoms:
Rb1 0.205 0.250 0.283
Mn1 0.331 0.750 0.843
As1 0.181 0.250 0.668
Se1 0.152 0.250 0.909
Se2 0.378 0.750 0.602
Se3 0.454 0.750 0.106

Principal peaks in the range 5 to 70 degrees two-theta, by angle:
| Position (°2θ) | I_rel |
| --- | --- |
| 11.65 | 39 |
| 31.31 | 27 |
| 32.59 | 29 |
| 32.99 | 26 |
| 33.27 | 100 |
| 36.94 | 24 |
| 44.03 | 30 |
| 51.89 | 23 |

=====

# 6
LaTmHg6: simulated PXRD pattern (λ = 1.5418 Å (Cu Kα)), based on a DFT-relaxed cell (PBE, Alexandria).

Structural model:
abc: 5.046 6.792 11.727
angles: 90.00 90.00 90.00
Space group Amm2 (No. 38)
One atom of each set of equivalent atoms:
La1 0.000 0.000 0.000
Tm1 0.500 0.000 0.673
Hg1 0.000 0.000 0.509
Hg2 0.000 0.248 0.751
Hg3 0.500 0.000 0.174
Hg4 0.500 0.237 0.417

Principal peaks in the range 5 to 70 degrees two-theta, by angle:
| Position (°2θ) | I_rel |
| --- | --- |
| 30.44 | 25 |
| 35.37 | 100 |
| 35.59 | 22 |
| 47.52 | 15 |
| 54.14 | 13 |
| 63.77 | 18 |
| 66.38 | 13 |
| 66.48 | 14 |

=====

Copy entry 4 word for word.
Rb3PuF8: simulated PXRD pattern (λ = 1.5418 Å (Cu Kα)), based on a DFT-relaxed cell (PBE, Alexandria).

Structural model:
abc: 6.238 6.238 12.241
angles: 90.00 90.00 90.00
Space group I4/mmm (No. 139)
One atom of each set of equivalent atoms:
Rb1 0.000 0.000 0.000
Rb2 0.000 0.500 0.250
Pu1 0.000 0.000 0.500
F1 0.204 0.204 0.396

Principal peaks in the range 5 to 70 degrees two-theta, by angle:
| Position (°2θ) | I_rel |
| --- | --- |
| 15.95 | 37 |
| 24.88 | 100 |
| 28.62 | 18 |
| 40.92 | 20 |
| 41.33 | 38 |
| 48.49 | 31 |
| 49.20 | 17 |
| 65.86 | 15 |

=====

What did the third record say?
Ba3Np2Se7: simulated PXRD pattern (λ = 1.5418 Å (Cu Kα)), based on a DFT-relaxed cell (PBE, Alexandria).

Structural model:
abc: 5.546 26.458 5.370
angles: 90.00 90.00 90.00
Space group Cmmm (No. 65)
One atom of each set of equivalent atoms:
Ba1 0.000 0.000 0.000
Ba2 0.000 0.182 0.000
Np1 0.000 0.395 0.500
Se1 0.000 0.098 0.500
Se2 0.000 0.292 0.500
Se3 0.000 0.397 0.000
Se4 0.000 0.500 0.500

Principal peaks in the range 5 to 70 degrees two-theta, by angle:
| Position (°2θ) | I_rel |
| --- | --- |
| 13.39 | 39 |
| 23.27 | 100 |
| 26.15 | 37 |
| 28.63 | 36 |
| 32.29 | 58 |
| 33.37 | 53 |
| 33.88 | 37 |
| 47.12 | 40 |